Computed XRD peak list
Compound: Li5SnS4
Radiation: Cu Kα (λ = 1.5418 Å)
Structure: the GGA-PBE geometry in Alexandria
Lines closer than 0.1° are merged.

Peak list (10 most intense, 2θ = 15–90°, in order of falling intensity)
2θ = 15.25°, intensity 100
2θ = 18.43°, intensity 88
2θ = 27.17°, intensity 76
2θ = 18.87°, intensity 70
2θ = 44.00°, intensity 56
2θ = 29.16°, intensity 39
2θ = 28.29°, intensity 39
2θ = 33.54°, intensity 34
2θ = 20.87°, intensity 28
2θ = 35.17°, intensity 26

```
Li5SnS4
1.0
7.9379 0.0000 0.0000
0.0000 8.5110 0.0000
0.0000 0.0000 5.8362
Li Sn S
10 2 8
Cartesian
0.1460 0.3119 1.4597
0.1460 3.9436 1.4597
1.9845 6.3832 1.4362
3.8230 0.3119 1.4597
3.8230 3.9436 1.4597
4.1149 4.5674 4.3765
4.1149 8.1991 4.3765
5.9534 2.1277 4.3999
7.7919 4.5674 4.3765
7.7919 8.1991 4.3765
1.9845 2.1277 3.9895
5.9534 6.3832 1.8466
0.0637 2.1277 5.6272
1.9845 4.5813 3.0652
1.9845 8.1852 3.0652
3.9052 2.1277 5.6272
4.0327 6.3832 0.2090
5.9534 0.3258 2.7710
5.9534 3.9297 2.7710
7.8741 6.3832 0.2090
```

---

Computed XRD peak list
Compound: Li4SnS4
Radiation: Cu Kα (λ = 1.5418 Å)
Structure: the GGA-PBE geometry in Alexandria
Lines closer than 0.1° are merged.

Peak list (10 most intense, 2θ = 15–90°, in order of falling intensity)
2θ = 16.65°, intensity 100
2θ = 17.84°, intensity 59
2θ = 18.62°, intensity 50
2θ = 44.21°, intensity 49
2θ = 25.63°, intensity 47
2θ = 24.83°, intensity 37
2θ = 25.85°, intensity 36
2θ = 27.17°, intensity 36
2θ = 28.00°, intensity 31
2θ = 40.92°, intensity 29

```
Li4SnS4
1.0
14.3456 0.0000 0.0000
0.0000 7.9459 0.0000
0.0000 0.0000 6.3731
Li Sn S
16 4 16
Cartesian
0.0000 0.0000 0.0000
0.0000 3.9729 0.0000
1.2844 1.9865 2.3650
2.5456 4.0050 5.2254
2.5456 7.9138 5.2254
4.6272 0.0321 2.0389
4.6272 3.9409 2.0389
5.8884 5.9594 5.5516
7.1728 0.0000 3.1866
7.1728 3.9729 3.1866
8.4572 1.9865 0.8216
9.7184 4.0050 4.3343
9.7184 7.9138 4.3343
11.8000 0.0321 1.1477
11.8000 3.9409 1.1477
13.0612 5.9594 4.0081
1.3121 5.9594 2.2702
5.8607 1.9865 5.4568
8.4849 5.9594 0.9164
13.0335 1.9865 4.1030
1.0010 1.9865 4.8776
1.1783 5.9594 4.6826
2.2968 0.0068 1.3508
2.2968 3.9662 1.3508
4.8760 3.9797 4.5374
4.8760 7.9391 4.5374
5.9944 1.9865 1.4960
6.1718 5.9594 1.6910
8.1738 1.9865 4.6821
8.3511 5.9594 4.8771
9.4696 0.0068 1.8358
9.4696 3.9662 1.8358
12.0488 3.9797 5.0224
12.0488 7.9391 5.0224
13.1672 1.9865 1.6905
13.3446 5.9594 1.4956
```

---

Computed XRD peak list
Compound: Sr2LiTeS4
Radiation: Cu Kα (λ = 1.5418 Å)
Structure: the GGA-PBE geometry in Alexandria
Lines closer than 0.1° are merged.

Peak list (10 most intense, 2θ = 15–90°, in order of falling intensity)
2θ = 31.75°, intensity 100
2θ = 28.02°, intensity 70
2θ = 42.83°, intensity 41
2θ = 25.85°, intensity 36
2θ = 45.52°, intensity 34
2θ = 26.89°, intensity 24
2θ = 41.53°, intensity 23
2θ = 53.19°, intensity 21
2θ = 15.71°, intensity 21
2θ = 44.20°, intensity 19

```
Sr2LiTeS4
1.0
5.6402 -5.6417 0.0000
5.6402 5.6417 0.0000
-5.2587 0.0000 6.3682
Sr Li Te S
4 2 2 8
Cartesian
0.0000 0.0000 0.0000
-2.6294 0.0000 3.1841
2.8201 2.8209 0.0000
0.1908 -2.8209 3.1841
5.6402 0.0000 0.0000
3.0109 0.0000 3.1841
0.1908 2.8209 3.1841
2.8201 -2.8209 0.0000
2.8248 2.6887 3.0296
0.3141 0.1285 3.0216
-2.3153 -0.1285 6.2057
5.8263 2.6887 0.1545
0.1955 -2.6887 6.2137
8.3370 0.1285 0.1625
5.7077 -0.1285 3.3466
3.1969 -2.6887 3.3386
```

---

Computed XRD peak list
Compound: SrLiThS4
Radiation: Cu Kα (λ = 1.5418 Å)
Structure: the GGA-PBE geometry in Alexandria
Lines closer than 0.1° are merged.

Peak list (10 most intense, 2θ = 15–90°, in order of falling intensity)
2θ = 21.09°, intensity 100
2θ = 26.59°, intensity 71
2θ = 34.73°, intensity 66
2θ = 41.28°, intensity 60
2θ = 17.16°, intensity 54
2θ = 25.92°, intensity 51
2θ = 39.24°, intensity 47
2θ = 35.25°, intensity 40
2θ = 22.72°, intensity 38
2θ = 45.55°, intensity 38

```
SrLiThS4
1.0
2.8343 -7.8293 0.0000
2.8343 7.8293 0.0000
0.0000 0.0000 6.8755
Sr Li Th S
2 2 2 8
Cartesian
2.8343 6.1363 5.1567
2.8343 -6.1363 1.7189
2.8343 4.2198 1.7189
2.8343 -4.2198 5.1567
2.8343 1.8681 5.1567
2.8343 -1.8681 1.7189
1.4172 3.9146 0.0000
1.4172 3.9146 3.4378
2.8343 6.5957 1.7189
2.8343 0.8681 1.7189
1.4172 -3.9146 0.0000
1.4172 -3.9146 3.4378
2.8343 -0.8681 5.1567
2.8343 -6.5957 5.1567
```

---

Computed XRD peak list
Compound: SrLi2Ti3S8
Radiation: Cu Kα (λ = 1.5418 Å)
Structure: the GGA-PBE geometry in Alexandria
Lines closer than 0.1° are merged.

Peak list (10 most intense, 2θ = 15–90°, in order of falling intensity)
2θ = 40.96°, intensity 100
2θ = 33.25°, intensity 90
2θ = 16.45°, intensity 70
2θ = 51.19°, intensity 62
2θ = 21.63°, intensity 53
2θ = 27.80°, intensity 52
2θ = 29.17°, intensity 41
2θ = 44.09°, intensity 41
2θ = 30.03°, intensity 29
2θ = 54.68°, intensity 24

```
SrLi2Ti3S8
1.0
3.5693 2.0608 7.3291
-3.5693 2.0608 7.3291
0.0000 -4.1215 7.3291
Sr Li Ti S
1 2 3 8
Cartesian
0.0000 0.0000 0.0000
0.0000 0.0000 6.8079
0.0000 0.0000 18.6447
0.0000 -1.9535 11.3781
-1.6918 0.9767 11.3781
1.6918 0.9767 11.3781
0.0000 -1.9776 5.4780
-1.7126 0.9888 5.4780
0.0000 0.0000 2.8351
-1.6901 -0.9758 10.0373
1.7126 0.9888 5.4780
0.0000 0.0000 12.8466
1.6901 -0.9758 10.0374
0.0000 1.9515 10.0374
```

---

Computed XRD peak list
Compound: LiTa4S8
Radiation: Cu Kα (λ = 1.5418 Å)
Structure: the GGA-PBE geometry in Alexandria
Lines closer than 0.1° are merged.

Peak list (10 most intense, 2θ = 15–90°, in order of falling intensity)
2θ = 33.64°, intensity 100
2θ = 41.33°, intensity 73
2θ = 30.61°, intensity 67
2θ = 33.53°, intensity 67
2θ = 41.48°, intensity 45
2θ = 54.41°, intensity 37
2θ = 52.21°, intensity 31
2θ = 56.29°, intensity 26
2θ = 52.44°, intensity 22
2θ = 41.56°, intensity 19

```
LiTa4S8
1.0
5.8400 -3.3736 0.0000
5.8400 3.3736 0.0000
-5.7994 0.0000 6.5523
Li Ta S
1 4 8
Cartesian
0.0000 0.0000 0.0000
0.0399 0.0000 3.2983
2.9403 1.6535 3.2762
2.9403 -1.6535 3.2762
5.8407 0.0000 3.2540
-3.8688 0.0000 4.7997
-0.9562 1.6863 4.8297
3.9105 0.0000 1.7121
6.8368 1.6863 1.7226
-0.9562 -1.6863 4.8297
1.9701 0.0000 4.8402
6.8368 -1.6863 1.7226
9.7494 0.0000 1.7526
```